(1)
Starting from a PBE-relaxed structure, the powder diffraction line list of Nb4Tl2Se7 was simulated for λ = 1.5418 Å (Cu Kα).
Peak positions follow from Bragg's law for the DFT cell and can differ from measured ones.

abc: 6.3280 6.3280 9.0078
angles: 90.00 90.00 120.00
Space group P-31m (No. 162)
Inequivalent atoms, fractional coordinates:
Nb 0.0000 0.0000 0.1457 (multiplicity 2)
Nb 0.3333 0.6667 0.0000 (multiplicity 2)
Tl 0.3333 0.6667 0.5000 (multiplicity 2)
Se 0.0000 0.0000 0.5000 (multiplicity 1)
Se 0.0000 0.3898 0.7983 (multiplicity 6)

Peak list (12 most intense, 10° ≤ 2θ ≤ 80°, by angle)
hkl, d [Å], I/Imax
1 1 0, 3.164, 53
0 0 3, 3.003, 26
2 -1 1, 2.985, 38
1 1 2, 2.589, 100
2 0 2, 2.341, 22
1 1 3, 2.178, 12
1 0 4, 2.083, 13
2 -1 4, 1.835, 16
3 0 0, 1.827, 36
3 0 3, 1.561, 16
4 -2 2, 1.493, 14
1 1 6, 1.356, 15

***

(2)
Starting from a PBE-relaxed structure, the powder diffraction line list of Nb2Tl2Se5 was simulated for λ = 1.5418 Å (Cu Kα).
Peak positions follow from Bragg's law for the DFT cell and can differ from measured ones.

abc: 15.5091 4.7868 8.1828
angles: 90.00 99.73 90.00
Space group C2/m (No. 12)
Inequivalent atoms, fractional coordinates:
Nb 0.1437 0.0000 0.4018 (multiplicity 4)
Tl 0.0361 0.5000 0.8013 (multiplicity 4)
Se 0.0000 0.0000 0.5000 (multiplicity 2)
Se 0.1142 0.0000 0.1087 (multiplicity 4)
Se 0.1824 0.5000 0.5213 (multiplicity 4)

Peak list (12 most intense, 10° ≤ 2θ ≤ 80°, by angle)
hkl, d [Å], I/Imax
2 0 0, 7.643, 100
1 1 1, 3.891, 75
2 0 -2, 3.845, 38
3 1 0, 3.489, 41
1 1 -2, 3.102, 35
3 1 1, 3.075, 98
1 1 2, 2.950, 40
3 1 -2, 2.804, 77
6 0 -1, 2.557, 62
0 2 0, 2.393, 63
1 1 -3, 2.370, 34
6 2 -1, 1.747, 40

***

(3)
Starting from a PBE-relaxed structure, the powder diffraction line list of NbTl2Se5 was simulated for λ = 1.5418 Å (Cu Kα).
Peak positions follow from Bragg's law for the DFT cell and can differ from measured ones.

abc: 5.6286 7.9592 13.2962
angles: 90.00 90.00 90.00
Space group Imm2 (No. 44)
Inequivalent atoms, fractional coordinates:
Nb 0.0000 0.0000 0.0000 (multiplicity 2)
Tl 0.0000 0.5000 0.2594 (multiplicity 2)
Tl 0.0000 0.5000 0.7862 (multiplicity 2)
Se 0.0000 0.0000 0.1793 (multiplicity 2)
Se 0.2318 0.2663 0.4353 (multiplicity 8)

Peak list (12 most intense, 10° ≤ 2θ ≤ 80°, by angle)
hkl, d [Å], I/Imax
0 1 1, 6.829, 19
0 0 2, 6.648, 41
1 1 0, 4.596, 19
1 1 2, 3.780, 100
0 2 2, 3.415, 62
1 1 4, 2.693, 27
2 0 2, 2.592, 30
0 2 4, 2.551, 31
2 2 0, 2.298, 50
1 3 2, 2.257, 26
2 0 4, 2.148, 19
1 1 6, 1.996, 21

***

(4)
Starting from a PBE-relaxed structure, the powder diffraction line list of NbTl7Se6 was simulated for λ = 1.5418 Å (Cu Kα).
Peak positions follow from Bragg's law for the DFT cell and can differ from measured ones.

abc: 8.0249 13.9236 18.2233
angles: 90.00 90.00 90.00
Space group Ibam (No. 72)
Inequivalent atoms, fractional coordinates:
Nb 0.0000 0.0000 0.2500 (multiplicity 4)
Tl 0.0000 0.5000 0.2500 (multiplicity 4)
Tl 0.1880 0.2036 0.1115 (multiplicity 16)
Tl 0.2481 0.4753 0.0000 (multiplicity 8)
Se 0.0136 0.3262 0.5000 (multiplicity 8)
Se 0.1868 0.0952 0.3253 (multiplicity 16)

Peak list (12 most intense, 10° ≤ 2θ ≤ 80°, by angle)
hkl, d [Å], I/Imax
2 0 0, 4.013, 23
0 2 4, 3.812, 100
2 0 2, 3.673, 21
2 2 2, 3.249, 39
1 4 1, 3.145, 58
2 0 4, 3.012, 21
1 2 5, 2.995, 42
2 2 4, 2.764, 23
2 1 5, 2.649, 19
2 4 2, 2.526, 31
2 2 6, 2.287, 41
0 0 8, 2.278, 20

***

(5)
Starting from a PBE-relaxed structure, the powder diffraction line list of NbTl2Se8 was simulated for λ = 1.5418 Å (Cu Kα).
Peak positions follow from Bragg's law for the DFT cell and can differ from measured ones.

abc: 6.4375 7.0341 8.0079
angles: 75.21 67.19 88.17
Space group P-1 (No. 2)
Inequivalent atoms, fractional coordinates:
Nb 0.0000 0.0000 0.0000 (multiplicity 1)
Tl 0.4748 0.5523 0.2511 (multiplicity 2)
Se 0.0469 0.3513 0.0988 (multiplicity 2)
Se 0.0522 0.3235 0.6903 (multiplicity 2)
Se 0.1161 0.0020 0.6441 (multiplicity 2)
Se 0.4415 0.9779 0.8789 (multiplicity 2)

Peak list (12 most intense, 10° ≤ 2θ ≤ 80°, by angle)
hkl, d [Å], I/Imax
0 0 1, 7.120, 37
0 1 1, 5.722, 37
1 -1 0, 4.635, 45
1 1 2, 3.679, 84
0 0 2, 3.561, 43
0 2 0, 3.391, 64
2 0 1, 3.216, 33
2 0 0, 2.959, 100
2 0 2, 2.904, 69
1 2 2, 2.875, 58
0 1 -2, 2.857, 61
-1 2 2, 2.354, 31

***

(6)
Starting from a PBE-relaxed structure, the powder diffraction line list of UNb2Se5 was simulated for λ = 1.5418 Å (Cu Kα).
Peak positions follow from Bragg's law for the DFT cell and can differ from measured ones.

abc: 5.1197 13.7151 13.7594
angles: 90.00 90.00 90.00
Space group Fmmm (No. 69)
Inequivalent atoms, fractional coordinates:
U 0.0000 0.0000 0.0000 (multiplicity 4)
Nb 0.0000 0.1929 0.5000 (multiplicity 8)
Se 0.0000 0.0000 0.5000 (multiplicity 4)
Se 0.0000 0.1662 0.1235 (multiplicity 16)

Peak list (12 most intense, 10° ≤ 2θ ≤ 80°, by angle)
hkl, d [Å], I/Imax
0 0 2, 6.880, 100
1 1 1, 4.529, 22
0 4 2, 3.072, 24
1 3 3, 2.737, 48
2 0 0, 2.560, 24
0 4 4, 2.428, 15
2 0 2, 2.399, 15
0 6 0, 2.286, 14
1 3 5, 2.141, 27
2 4 2, 1.966, 14
2 4 4, 1.762, 11
2 6 0, 1.705, 11

***

(7)
Starting from a PBE-relaxed structure, the powder diffraction line list of NbV2Se3 was simulated for λ = 1.5418 Å (Cu Kα).
Peak positions follow from Bragg's law for the DFT cell and can differ from measured ones.

abc: 7.9587 3.3989 10.3857
angles: 90.00 104.69 90.00
Space group P2_1/m (No. 11)
Inequivalent atoms, fractional coordinates:
Nb 0.2492 0.2500 0.2828 (multiplicity 2)
V 0.0931 0.7500 0.0816 (multiplicity 2)
V 0.4685 0.2500 0.5770 (multiplicity 2)
Se 0.0874 0.7500 0.8390 (multiplicity 2)
Se 0.2352 0.7500 0.4851 (multiplicity 2)
Se 0.4200 0.7500 0.1729 (multiplicity 2)

Peak list (12 most intense, 10° ≤ 2θ ≤ 80°, by angle)
hkl, d [Å], I/Imax
1 0 -1, 7.032, 100
0 0 3, 3.349, 16
2 0 1, 3.324, 18
1 1 -1, 3.060, 14
1 1 -2, 2.774, 18
1 1 -3, 2.404, 17
0 1 3, 2.385, 12
1 1 3, 2.170, 13
3 1 -1, 2.091, 13
1 1 -4, 2.060, 13
3 1 -2, 2.047, 26
2 0 -5, 2.002, 15

***

(8)
Starting from a PBE-relaxed structure, the powder diffraction line list of NbWSe6 was simulated for λ = 1.5418 Å (Cu Kα).
Peak positions follow from Bragg's law for the DFT cell and can differ from measured ones.

abc: 6.1666 6.4344 6.4373
angles: 68.12 62.71 62.71
Space group P-1 (No. 2)
Inequivalent atoms, fractional coordinates:
Nb 0.0000 0.0000 0.0000 (multiplicity 1)
W 0.5000 0.5000 0.5000 (multiplicity 1)
Se 0.0657 0.7441 0.7442 (multiplicity 2)
Se 0.3534 0.6411 0.1510 (multiplicity 2)
Se 0.3552 0.1495 0.6428 (multiplicity 2)

Peak list (12 most intense, 10° ≤ 2θ ≤ 80°, by angle)
hkl, d [Å], I/Imax
1 1 0, 4.685, 100
1 0 -1, 3.260, 17
1 1 2, 3.187, 17
1 -1 1, 2.950, 18
1 2 0, 2.923, 50
-1 1 1, 2.700, 30
2 0 2, 2.342, 34
2 1 -1, 2.091, 23
2 1 3, 2.053, 23
0 3 1, 1.890, 38
-2 1 1, 1.826, 19
0 2 -2, 1.802, 19